Structure and computed XRD peak list of Li2Ti3SnO8 (a structure optimized by DFT (PBE); copper Kα).
Neutral-atom scattering factors, no anomalous dispersion.

Atomic structure:
Unit cell a=8.7853 b=8.7853 c=8.7853 alpha=90.00 beta=90.00 gamma=90.00
Fractional positions:
Li (0.1308, 0.1308, 0.1308)
Li (0.2484, 0.7516, 0.2516)
Li (0.2516, 0.2484, 0.7516)
Li (0.3692, 0.8692, 0.6308)
Li (0.6308, 0.3692, 0.8692)
Li (0.7484, 0.7484, 0.7484)
Li (0.7516, 0.2516, 0.2484)
Li (0.8692, 0.6308, 0.3692)
Ti (0.1161, 0.8717, 0.8816)
Ti (0.1184, 0.6161, 0.6283)
Ti (0.1283, 0.3816, 0.3839)
Ti (0.3717, 0.6184, 0.8839)
Ti (0.3816, 0.3839, 0.1283)
Ti (0.3839, 0.1283, 0.3816)
Ti (0.6161, 0.6283, 0.1184)
Ti (0.6184, 0.8839, 0.3717)
Ti (0.6283, 0.1184, 0.6161)
Ti (0.8717, 0.8816, 0.1161)
Ti (0.8816, 0.1161, 0.8717)
Ti (0.8839, 0.3717, 0.6184)
Sn (0.0140, 0.9860, 0.4860)
Sn (0.4860, 0.0140, 0.9860)
Sn (0.5140, 0.5140, 0.5140)
Sn (0.9860, 0.4860, 0.0140)
O (0.0870, 0.8671, 0.1071)
O (0.1071, 0.0870, 0.8671)
O (0.1170, 0.3830, 0.6170)
O (0.1203, 0.8333, 0.6593)
O (0.1269, 0.6269, 0.8731)
O (0.1329, 0.6071, 0.4130)
O (0.1593, 0.3797, 0.1667)
O (0.1667, 0.1593, 0.3797)
O (0.3333, 0.8407, 0.8797)
O (0.3407, 0.6203, 0.6667)
O (0.3671, 0.3929, 0.9130)
O (0.3731, 0.3731, 0.3731)
O (0.3797, 0.1667, 0.1593)
O (0.3830, 0.6170, 0.1170)
O (0.3929, 0.9130, 0.3671)
O (0.4130, 0.1329, 0.6071)
O (0.5870, 0.6329, 0.8929)
O (0.6071, 0.4130, 0.1329)
O (0.6170, 0.1170, 0.3830)
O (0.6203, 0.6667, 0.3407)
O (0.6269, 0.8731, 0.1269)
O (0.6329, 0.8929, 0.5870)
O (0.6593, 0.1203, 0.8333)
O (0.6667, 0.3407, 0.6203)
O (0.8333, 0.6593, 0.1203)
O (0.8407, 0.8797, 0.3333)
O (0.8671, 0.1071, 0.0870)
O (0.8731, 0.1269, 0.6269)
O (0.8797, 0.3333, 0.8407)
O (0.8830, 0.8830, 0.8830)
O (0.8929, 0.5870, 0.6329)
O (0.9130, 0.3671, 0.3929)

Main lines, in order of falling intensity (2θ = 10–80°):
two_theta	Rel. int.	(hkl)
33.8	100	3 1 1
20.2	41	2 0 0
28.7	41	2 2 0
54.3	40	5 1 1
59.5	34	4 4 0
17.5	33	1 1 1
22.6	22	2 0 1
46.2	15	4 0 2
50.9	14	4 2 2
35.4	13	2 2 2
45.0	13	3 3 1
70.3	10	5 3 3